No. 1
This entry pairs a crystal structure of Y2ZnGa6Cu with its theoretical powder diffractogram. Radiation: CuKα. Structure: a cell relaxed with GGA-PBE.

Crystal structure
a b c (Å): 6.2822 6.2822 34.5578
angles (deg): 90.00 90.00 120.00
Space group R-3m (No. 166, hexagonal axes)
Symmetry-distinct sites (fractional):
Y1 0.0000 0.0000 0.1060 x6
Y2 0.0000 0.0000 0.2839 x6
Zn1 0.0000 0.0000 0.4278 x6
Ga1 0.0464 0.5232 0.2982 x18
Ga2 0.0664 0.5332 0.8652 x18
Cu1 0.0000 0.0000 0.0000 x3
Cu2 0.0000 0.0000 0.5000 x3

Principal peaks in the range 10 to 80 degrees two-theta, low angle first:
hkl 1 1 0, 28.41 deg, intensity 33; hkl 1 0 10, 30.65 deg, intensity 26; hkl 0 0 12, 31.05 deg, intensity 20; hkl 0 1 11, 32.92 deg, intensity 22; hkl 2 0 5, 35.46 deg, intensity 62; hkl 0 2 7, 37.74 deg, intensity 100; hkl 1 2 2, 44.36 deg, intensity 27; hkl 2 0 14, 49.89 deg, intensity 20; hkl 3 0 9, 56.12 deg, intensity 28; hkl 2 2 0, 58.79 deg, intensity 31

***

No. 2
This entry pairs a crystal structure of PrThSi3 with its theoretical powder diffractogram. Radiation: CuKα. Structure: a cell relaxed with GGA-PBE.

Crystal structure
a b c (Å): 4.349 24.932 4.105
angles (deg): 90.00 90.00 90.00
Space group Cmcm (No. 63)
Symmetry-distinct sites (fractional):
Pr1 0.000 0.069 0.250 x4
Th1 0.000 0.202 0.750 x4
Si1 0.000 0.326 0.750 x4
Si2 0.000 0.381 0.250 x4
Si3 0.000 0.476 0.250 x4

Principal peaks in the range 10 to 80 degrees two-theta, low angle first:
hkl 1 1 0, 20.73 deg, intensity 24; hkl 0 4 1, 25.99 deg, intensity 75; hkl 0 8 0, 28.64 deg, intensity 26; hkl 1 1 1, 30.15 deg, intensity 28; hkl 1 3 1, 31.85 deg, intensity 100; hkl 1 7 0, 32.49 deg, intensity 65; hkl 2 0 0, 41.53 deg, intensity 25; hkl 2 4 1, 49.65 deg, intensity 27; hkl 1 11 1, 50.56 deg, intensity 24; hkl 1 7 2, 55.86 deg, intensity 28

***

No. 3
This entry pairs a crystal structure of Pr5Ho4Er with its theoretical powder diffractogram. Radiation: CuKα. Structure: a cell relaxed with GGA-PBE.

Crystal structure
a b c (Å): 18.755 3.621 10.246
angles (deg): 90.00 106.08 90.00
Space group C2/m (No. 12)
Symmetry-distinct sites (fractional):
Pr1 0.000 0.000 0.000 x2
Pr2 0.100 0.500 0.306 x4
Pr3 0.200 0.000 0.101 x4
Ho1 0.101 0.500 0.794 x4
Ho2 0.199 0.000 0.600 x4
Er1 0.000 0.000 0.500 x2

Principal peaks in the range 10 to 80 degrees two-theta, low angle first:
hkl 6 0 -2, 30.24 deg, intensity 100; hkl 4 0 2, 30.38 deg, intensity 33; hkl 5 1 0, 35.10 deg, intensity 67; hkl 0 2 0, 50.38 deg, intensity 24; hkl 3 1 4, 50.53 deg, intensity 16; hkl 10 0 0, 50.66 deg, intensity 8; hkl 6 2 -2, 59.89 deg, intensity 24; hkl 4 2 2, 60.03 deg, intensity 24; hkl 9 1 2, 60.19 deg, intensity 9; hkl 2 2 -4, 62.88 deg, intensity 12

***

No. 4
This entry pairs a crystal structure of MoS5 with its theoretical powder diffractogram. Radiation: CuKα. Structure: a cell relaxed with GGA-PBE.

Crystal structure
a b c (Å): 3.358 7.469 13.424
angles (deg): 101.14 90.47 102.16
Space group P-1 (No. 2)
Symmetry-distinct sites (fractional):
Mo1 0.115 0.100 0.220 x2
S1 0.008 0.912 0.050 x2
S2 0.246 0.961 0.369 x2
S3 0.276 0.684 0.844 x2
S4 0.277 0.672 0.691 x2
S5 0.481 0.860 0.237 x2

Principal peaks in the range 10 to 80 degrees two-theta, low angle first:
hkl 0 1 0, 12.37 deg, intensity 100; hkl 0 1 -1, 12.85 deg, intensity 44; hkl 0 0 2, 13.46 deg, intensity 88; hkl 0 1 1, 15.23 deg, intensity 10; hkl 0 1 2, 20.08 deg, intensity 11; hkl 1 1 -1, 32.30 deg, intensity 19; hkl 1 -2 0, 32.81 deg, intensity 13; hkl 1 1 1, 33.93 deg, intensity 9; hkl 1 -2 3, 36.84 deg, intensity 10; hkl 1 2 -1, 40.63 deg, intensity 14